(1)
Structure and theoretical powder diffractogram of CaOsO4 (a GGA-PBE-relaxed structure; λ = 1.5418 Å (Cu Kα)).

Largest 10 diffraction maxima, sorted by position, 2θ from 10° to 90°:
d = 5.619 Å, 2θ 15.77, I 72.0
d = 3.629 Å, 2θ 24.53, I 52.1
d = 3.392 Å, 2θ 26.27, I 100.0
d = 2.810 Å, 2θ 31.85, I 23.5
d = 2.791 Å, 2θ 32.06, I 45.5
d = 2.645 Å, 2θ 33.90, I 21.7
d = 2.492 Å, 2θ 36.04, I 27.1
d = 1.865 Å, 2θ 48.83, I 17.5
d = 1.829 Å, 2θ 49.85, I 18.0
d = 1.814 Å, 2θ 50.29, I 20.8

Atomic structure:
```
CaOsO4
1.0
5.9061 0.0000 0.0000
0.0000 4.9871 0.0000
-1.7114 0.0000 5.2893
Ca Os O
2 2 8
Cartesian
0.0000 0.0000 0.0000
-0.8557 2.4935 2.6447
2.0974 0.0000 2.6447
2.9530 2.4935 0.0000
0.4629 0.7337 2.1380
-0.3928 1.7598 4.7827
1.1153 3.5867 3.6356
1.9710 3.8940 0.9910
2.2237 1.0931 4.2984
3.0794 1.4004 1.6537
4.5875 3.2273 0.5066
3.7318 4.2533 3.1513
```

(2)
Structure and theoretical powder diffractogram of V2CdB2 (a GGA-PBE-relaxed structure; λ = 1.5418 Å (Cu Kα)).

Largest 10 diffraction maxima, sorted by position, 2θ from 10° to 90°:
d = 4.210 Å, 2θ 21.10, I 59.9
d = 2.977 Å, 2θ 30.02, I 23.9
d = 2.663 Å, 2θ 33.66, I 29.9
d = 2.534 Å, 2θ 35.42, I 99.7
d = 2.171 Å, 2θ 41.60, I 100.0
d = 2.105 Å, 2θ 42.97, I 31.4
d = 2.040 Å, 2θ 44.41, I 41.4
d = 1.883 Å, 2θ 48.34, I 66.5
d = 1.283 Å, 2θ 73.83, I 26.8
d = 1.213 Å, 2θ 78.90, I 29.0

Atomic structure:
```
V2CdB2
1.0
5.9541 0.0000 0.0000
0.0000 5.9541 0.0000
0.0000 0.0000 3.1732
V Cd B
4 2 4
Cartesian
0.9735 2.0035 0.0000
2.0035 4.9806 0.0000
3.9506 0.9735 0.0000
4.9806 3.9506 0.0000
0.0000 0.0000 1.5866
2.9770 2.9770 1.5866
0.6018 3.5789 1.5866
2.3752 0.6018 1.5866
3.5789 5.3522 1.5866
5.3522 2.3752 1.5866
```

(3)
Structure and theoretical powder diffractogram of ErTl2Pb5 (a GGA-PBE-relaxed structure; λ = 1.5418 Å (Cu Kα)).

Largest 10 diffraction maxima, sorted by position, 2θ from 10° to 90°:
d = 2.829 Å, 2θ 31.62, I 54.6
d = 2.738 Å, 2θ 32.71, I 100.0
d = 2.001 Å, 2θ 45.33, I 20.6
d = 1.877 Å, 2θ 48.50, I 8.5
d = 1.615 Å, 2θ 57.02, I 42.3
d = 1.564 Å, 2θ 59.06, I 19.1
d = 1.369 Å, 2θ 68.56, I 12.3
d = 1.265 Å, 2θ 75.08, I 9.6
d = 1.257 Å, 2θ 75.67, I 9.4
d = 1.194 Å, 2θ 80.42, I 8.1

Atomic structure:
```
ErTl2Pb5
1.0
-4.0012 4.0012 3.7537
4.0012 -4.0012 3.7537
4.0012 4.0012 -3.7537
Er Tl Pb
1 2 5
Cartesian
0.0000 0.0000 0.0000
4.0012 0.0000 0.0000
0.0000 4.0012 0.0000
2.0006 2.0006 -1.8768
2.0006 -2.0006 1.8768
-2.0006 2.0006 1.8768
0.0000 0.0000 3.7537
2.0006 2.0006 1.8768
```

(4)
Structure and theoretical powder diffractogram of RbNpSe3 (a GGA-PBE-relaxed structure; λ = 1.5418 Å (Cu Kα)).

Largest 10 diffraction maxima, sorted by position, 2θ from 10° to 90°:
d = 5.119 Å, 2θ 17.32, I 73.5
d = 4.365 Å, 2θ 20.35, I 52.7
d = 4.261 Å, 2θ 20.85, I 100.0
d = 3.241 Å, 2θ 27.52, I 99.6
d = 3.116 Å, 2θ 28.65, I 38.2
d = 2.786 Å, 2θ 32.13, I 87.1
d = 2.373 Å, 2θ 37.91, I 41.9
d = 2.145 Å, 2θ 42.13, I 38.4
d = 2.113 Å, 2θ 42.80, I 60.6
d = 1.978 Å, 2θ 45.88, I 36.5

Atomic structure:
```
RbNpSe3
1.0
6.7697 -2.7861 0.0000
6.7697 2.7861 0.0000
-2.7405 0.0000 9.1081
Rb Np Se
2 2 6
Cartesian
0.4535 0.0000 3.6118
10.3454 0.0000 5.4963
4.8061 0.0000 0.7246
5.9928 0.0000 8.3835
-0.4593 0.0000 8.5662
4.0026 0.0000 3.2031
3.3982 0.0000 7.4502
7.4007 0.0000 1.6578
6.7964 0.0000 5.9049
11.2582 0.0000 0.5418
```

(5)
Structure and theoretical powder diffractogram of MgMo2W (a GGA-PBE-relaxed structure; λ = 1.5418 Å (Cu Kα)).

Largest 10 diffraction maxima, sorted by position, 2θ from 10° to 90°:
d = 5.492 Å, 2θ 16.14, I 31.9
d = 4.526 Å, 2θ 19.62, I 39.7
d = 3.493 Å, 2θ 25.50, I 20.7
d = 2.348 Å, 2θ 38.34, I 100.0
d = 2.286 Å, 2θ 39.43, I 92.5
d = 2.263 Å, 2θ 39.84, I 44.9
d = 1.906 Å, 2θ 47.71, I 53.0
d = 1.458 Å, 2θ 63.85, I 43.9
d = 1.177 Å, 2θ 81.84, I 22.0
d = 1.153 Å, 2θ 83.90, I 20.9

Atomic structure:
```
MgMo2W
1.0
2.6480 0.0000 0.0000
0.0000 4.5257 0.0000
0.0000 0.0000 5.4924
Mg Mo W
1 2 1
Cartesian
0.0000 0.0000 0.0000
0.0000 0.0000 2.7493
1.3240 2.2628 1.3564
1.3240 2.2628 4.0984
```